Calculated powder diffractogram
Compound: LuSiAg
Radiation: Cu Kα (λ = 1.5418 Å)
Structure: the GGA-PBE geometry in the Materials Project

Main lines, sorted by position (2θ from 10° to 80°):
| 2θ (°) | intensity |
| --- | --- |
| 25.58 | 21 |
| 26.18 | 21 |
| 29.62 | 14 |
| 33.69 | 100 |
| 36.93 | 73 |
| 39.53 | 52 |
| 43.93 | 23 |
| 54.88 | 16 |
| 59.64 | 33 |
| 60.56 | 29 |
| 71.98 | 17 |
| 72.81 | 14 |

Structural model:
abc: 6.9655 6.9655 4.1225
angles: 90.00 90.00 120.00
Space group P-62m (No. 189)
Asymmetric unit:
Lu  0.0000  0.5791  0.0000 [3 per cell]
Si  0.0000  0.0000  0.0000 [1 per cell]
Si  0.3333  0.6667  0.5000 [2 per cell]
Ag  0.0000  0.2509  0.5000 [3 per cell]

Calculated powder diffractogram
Compound: Lu2TlAg
Radiation: Cu Kα (λ = 1.5418 Å)
Structure: the GGA-PBE geometry in the Materials Project

Main lines, sorted by position (2θ from 10° to 80°):
| 2θ (°) | intensity |
| --- | --- |
| 21.05 | 4 |
| 34.71 | 100 |
| 40.95 | 2 |
| 49.91 | 18 |
| 54.74 | 1 |
| 62.22 | 37 |
| 66.46 | 1 |
| 73.26 | 11 |
| 77.21 | 1 |

Structural model:
abc: 7.309 7.309 7.309
angles: 90.00 90.00 90.00
Space group Fm-3m (No. 225)
Asymmetric unit:
Lu  0.250  0.250  0.250 [8 per cell]
Tl  0.000  0.000  0.000 [4 per cell]
Ag  0.000  0.000  0.500 [4 per cell]

Calculated powder diffractogram
Compound: Mg5Ag
Radiation: Cu Kα (λ = 1.5418 Å)
Structure: the GGA-PBE geometry in the Materials Project

Main lines, sorted by position (2θ from 10° to 80°):
| 2θ (°) | intensity |
| --- | --- |
| 17.77 | 18 |
| 19.00 | 51 |
| 26.13 | 42 |
| 33.22 | 32 |
| 35.98 | 25 |
| 37.92 | 100 |
| 41.00 | 14 |
| 49.78 | 20 |
| 59.36 | 16 |
| 65.96 | 18 |
| 71.41 | 18 |
| 72.64 | 13 |

Structural model:
abc: 5.3931 5.3931 4.9925
angles: 90.00 90.00 120.00
Space group P-62m (No. 189)
Asymmetric unit:
Mg  0.0000  0.3228  0.0000 [3 per cell]
Mg  0.3333  0.6667  0.5000 [2 per cell]
Ag  0.0000  0.0000  0.5000 [1 per cell]

Calculated powder diffractogram
Compound: MgAg3
Radiation: Cu Kα (λ = 1.5418 Å)
Structure: the GGA-PBE geometry in the Materials Project

Main lines, sorted by position (2θ from 10° to 80°):
| 2θ (°) | intensity |
| --- | --- |
| 21.31 | 18 |
| 30.31 | 15 |
| 37.35 | 100 |
| 43.40 | 48 |
| 48.83 | 8 |
| 53.85 | 6 |
| 63.05 | 30 |
| 67.36 | 3 |
| 71.54 | 2 |
| 75.63 | 35 |
| 79.64 | 10 |

Structural model:
abc: 4.170 4.170 4.170
angles: 90.00 90.00 90.00
Space group Pm-3m (No. 221)
Asymmetric unit:
Mg  0.000  0.000  0.000 [1 per cell]
Ag  0.000  0.500  0.500 [3 per cell]

Calculated powder diffractogram
Compound: MgAg3
Radiation: Cu Kα (λ = 1.5418 Å)
Structure: the GGA-PBE geometry in the Materials Project

Main lines, sorted by position (2θ from 10° to 80°):
| 2θ (°) | intensity |
| --- | --- |
| 17.41 | 8 |
| 25.41 | 19 |
| 30.40 | 8 |
| 35.25 | 24 |
| 37.21 | 27 |
| 40.02 | 100 |
| 51.08 | 5 |
| 52.18 | 15 |
| 63.25 | 16 |
| 68.98 | 18 |
| 75.73 | 19 |
| 77.54 | 13 |

Structural model:
abc: 5.8806 5.8806 4.8330
angles: 90.00 90.00 120.00
Space group P6_3/mmc (No. 194)
Asymmetric unit:
Mg  0.3333  0.6667  0.2500 [2 per cell]
Ag  0.1668  0.3335  0.7500 [6 per cell]

Calculated powder diffractogram
Compound: MgAg3
Radiation: Cu Kα (λ = 1.5418 Å)
Structure: the GGA-PBE geometry in the Materials Project

Main lines, sorted by position (2θ from 10° to 80°):
| 2θ (°) | intensity |
| --- | --- |
| 19.10 | 10 |
| 34.22 | 7 |
| 34.68 | 7 |
| 36.49 | 100 |
| 37.80 | 6 |
| 38.76 | 28 |
| 43.07 | 62 |
| 60.97 | 21 |
| 64.09 | 18 |
| 73.19 | 12 |
| 74.63 | 22 |
| 77.51 | 20 |

Structural model:
abc: 3.0393 3.0393 27.8806
angles: 90.00 90.00 120.00
Space group R-3m (No. 166, hexagonal axes)
Asymmetric unit:
Mg  0.0000  0.0000  0.0000 [3 per cell]
Ag  0.0000  0.0000  0.2507 [6 per cell]
Ag  0.0000  0.0000  0.5000 [3 per cell]

Calculated powder diffractogram
Compound: Mg5Ag
Radiation: Cu Kα (λ = 1.5418 Å)
Structure: the GGA-PBE geometry in the Materials Project

Main lines, sorted by position (2θ from 10° to 80°):
| 2θ (°) | intensity |
| --- | --- |
| 10.98 | 86 |
| 17.75 | 27 |
| 20.92 | 39 |
| 28.68 | 16 |
| 32.79 | 32 |
| 33.94 | 21 |
| 35.95 | 36 |
| 37.53 | 100 |
| 38.04 | 47 |
| 49.45 | 19 |
| 65.67 | 18 |
| 71.30 | 17 |

Structural model:
abc: 4.996 3.172 16.115
angles: 90.00 90.00 90.00
Space group Amm2 (No. 38)
Asymmetric unit:
Mg  0.000  0.000  0.000 [2 per cell]
Mg  0.000  0.000  0.320 [2 per cell]
Mg  0.500  0.000  0.210 [2 per cell]
Mg  0.500  0.000  0.549 [2 per cell]
Mg  0.500  0.000  0.882 [2 per cell]
Ag  0.000  0.000  0.659 [2 per cell]